Starting from a cell relaxed with GGA-PBE, the X-ray diffraction stick pattern of NaZn4As3 was simulated for Cu Kα (weighted mean of Kα1 and Kα2).

Main lines, by angle (2θ = 10–90°):
- 24.4°, I = 28
- 24.6°, I = 35
- 26.8°, I = 38
- 36.8°, I = 71
- 43.1°, I = 100
- 43.6°, I = 43
- 50.1°, I = 24
- 58.0°, I = 18
- 61.1°, I = 21
- 74.9°, I = 16

Crystal structure
```
8
Lattice="2.100 1.212 10.962 -2.100 1.212 10.962 0.000 -2.424 10.962" Properties=species:S:1:pos:R:3 pbc="T T T"
Na 0.000 0.000 0.000
Zn 0.000 0.000 6.554
Zn 0.000 0.000 13.424
Zn 0.000 0.000 19.462
Zn 0.000 0.000 26.333
As 0.000 0.000 9.033
As 0.000 0.000 16.443
As 0.000 0.000 23.854
```